Calculated powder diffraction line list
Compound: Ag5GeSe4Cl2
Radiation: Cu Kα
Structure: DFT lattice parameters and positions (GGA-PBE)

Peak list (10 most intense, 2θ from 10° to 90°, sorted by position)
2θ 26.68, d 3.341, rel. 99, (0 3 1); 2θ 27.57, d 3.235, rel. 100, (2 1 1); 2θ 35.15, d 2.553, rel. 18, (2 3 1); 2θ 39.33, d 2.291, rel. 92, (2 2 2); 2θ 45.87, d 1.978, rel. 26, (4 0 0); 2θ 46.36, d 1.959, rel. 20, (0 6 0); 2θ 47.17, d 1.927, rel. 53, (2 5 1); 2θ 48.60, d 1.873, rel. 27, (0 3 3); 2θ 53.85, d 1.702, rel. 22, (4 3 1); 2θ 75.11, d 1.265, rel. 19, (2 8 2)

Structural model:
abc: 7.9140 11.7518 6.3992
angles: 90.00 90.00 90.00
Space group Amm2 (No. 38)
Unique sites:
Ag 0.0000 0.0000 0.0000
Ag 0.2723 0.1901 0.4978
Ge 0.5000 0.0000 0.0647
Se 0.2501 0.0000 0.2728
Se 0.5000 0.1670 0.8408
Cl 0.0000 0.1710 0.7293

***

Calculated powder diffraction line list
Compound: Ag2HCl5
Radiation: Cu Kα
Structure: DFT lattice parameters and positions (GGA-PBE)

Peak list (10 most intense, 2θ from 10° to 90°, sorted by position)
2θ 14.65, d 6.048, rel. 100, (0 1 0); 2θ 21.42, d 4.148, rel. 29, (1 0 -1); 2θ 21.61, d 4.112, rel. 45, (1 0 1); 2θ 21.91, d 4.058, rel. 34, (-1 1 1); 2θ 26.61, d 3.349, rel. 16, (1 1 0); 2θ 29.98, d 2.981, rel. 16, (1 1 1); 2θ 30.76, d 2.906, rel. 24, (-1 2 1); 2θ 39.89, d 2.260, rel. 17, (0 2 -2); 2θ 44.02, d 2.057, rel. 18, (2 0 2); 2θ 44.29, d 2.045, rel. 17, (1 0 3)

Structural model:
abc: 5.7358 6.6055 6.6862
angles: 90.74 90.17 113.70
Space group P1 (No. 1)
Unique sites:
Ag 0.0000 0.0000 0.0000
Ag 0.4953 0.0008 0.4904
H 0.2542 0.6264 0.9249
Cl 0.0219 0.5192 0.9909
Cl 0.2589 0.1549 0.6968
Cl 0.3987 0.1750 0.2042
Cl 0.6104 0.8408 0.7820
Cl 0.7270 0.8329 0.2918

***

Calculated powder diffraction line list
Compound: Ag3HCl4
Radiation: Cu Kα
Structure: DFT lattice parameters and positions (GGA-PBE)

Peak list (10 most intense, 2θ from 10° to 90°, sorted by position)
2θ 15.48, d 5.724, rel. 100, (1 0 0); 2θ 16.85, d 5.261, rel. 95, (1 1 -1); 2θ 20.96, d 4.239, rel. 70, (1 1 -2); 2θ 24.59, d 3.621, rel. 35, (2 0 -2); 2θ 25.03, d 3.558, rel. 66, (0 1 2); 2θ 25.78, d 3.456, rel. 81, (0 2 1); 2θ 26.74, d 3.333, rel. 40, (1 1 1); 2θ 27.25, d 3.273, rel. 42, (2 1 -2); 2θ 29.09, d 3.070, rel. 41, (1 1 -3); 2θ 47.70, d 1.907, rel. 75, (3 0 0)

Structural model:
abc: 7.2922 7.6548 10.2382
angles: 90.00 128.28 90.00
Space group Pc (No. 7)
Unique sites:
Ag 0.0000 0.0556 0.0000
Ag 0.0242 0.3668 0.6739
Ag 0.6847 0.2009 0.2116
H 0.2486 0.3188 0.4742
Cl 0.0165 0.3097 0.2186
Cl 0.2590 0.1875 0.9556
Cl 0.3822 0.3252 0.6400
Cl 0.7145 0.1408 0.4735

***

Calculated powder diffraction line list
Compound: AgH2Cl3
Radiation: Cu Kα
Structure: DFT lattice parameters and positions (GGA-PBE)

Peak list (10 most intense, 2θ from 10° to 90°, sorted by position)
2θ 14.40, d 6.153, rel. 86, (1 1 0); 2θ 16.33, d 5.427, rel. 100, (1 1 -1); 2θ 19.30, d 4.598, rel. 57, (2 0 0); 2θ 23.52, d 3.783, rel. 97, (0 0 2); 2θ 28.69, d 3.112, rel. 55, (2 2 -1); 2θ 29.45, d 3.033, rel. 55, (3 1 -1); 2θ 33.91, d 2.644, rel. 36, (1 3 0); 2θ 35.20, d 2.549, rel. 29, (1 1 -3); 2θ 42.94, d 2.106, rel. 37, (3 3 -1); 2θ 43.71, d 2.071, rel. 29, (0 4 0)

Structural model:
abc: 9.7990 8.2790 8.0620
angles: 90.00 110.21 90.00
Space group C2/c (No. 15)
Unique sites:
Ag 0.0000 0.1311 0.2500
H 0.2037 0.4309 0.2878
Cl 0.0000 0.4272 0.2500
Cl 0.1533 0.1055 0.6772

***

Calculated powder diffraction line list
Compound: NaAg2HCl6
Radiation: Cu Kα
Structure: DFT lattice parameters and positions (GGA-PBE)

Peak list (10 most intense, 2θ from 10° to 90°, sorted by position)
2θ 11.18, d 7.918, rel. 51, (1 1 0); 2θ 16.38, d 5.411, rel. 100, (0 2 0); 2θ 20.71, d 4.289, rel. 52, (2 0 -2); 2θ 22.46, d 3.959, rel. 47, (2 2 0); 2θ 24.42, d 3.645, rel. 52, (3 1 0); 2θ 26.52, d 3.361, rel. 65, (2 2 -2); 2θ 39.38, d 2.288, rel. 34, (2 4 -2); 2θ 39.69, d 2.271, rel. 31, (5 1 0); 2θ 39.91, d 2.259, rel. 25, (1 3 2); 2θ 45.49, d 1.994, rel. 30, (4 2 -4)

Structural model:
abc: 14.3295 10.8218 8.5792
angles: 90.00 125.85 90.00
Space group C2/c (No. 15)
Unique sites:
Na 0.0000 0.1596 0.2500
Ag 0.1797 0.4821 0.1633
H 0.0000 0.3292 0.7500
Cl 0.0022 0.3330 0.9330
Cl 0.1087 0.0045 0.1113
Cl 0.1802 0.3890 0.4266

***

Calculated powder diffraction line list
Compound: AgH2PdCl8
Radiation: Cu Kα
Structure: DFT lattice parameters and positions (GGA-PBE)

Peak list (10 most intense, 2θ from 10° to 90°, sorted by position)
2θ 12.43, d 7.121, rel. 100, (0 0 1); 2θ 14.27, d 6.208, rel. 64, (1 0 0); 2θ 18.17, d 4.883, rel. 53, (1 0 -1); 2θ 19.73, d 4.499, rel. 29, (1 0 1); 2θ 25.78, d 3.456, rel. 14, (1 -2 0); 2θ 28.66, d 3.115, rel. 28, (0 2 -1); 2θ 29.94, d 2.984, rel. 37, (1 0 2); 2θ 34.55, d 2.596, rel. 29, (-2 2 1); 2θ 35.24, d 2.547, rel. 23, (1 2 -1); 2θ 46.36, d 1.959, rel. 18, (3 -2 1)

Structural model:
abc: 6.5366 7.1309 7.1466
angles: 91.04 94.20 107.65
Space group P-1 (No. 2)
Unique sites:
Ag 0.0000 0.0000 0.0000
H 0.2786 0.3008 0.3407
Pd 0.0000 0.5000 0.0000
Cl 0.2074 0.7901 0.8722
Cl 0.2075 0.3204 0.8719
Cl 0.2379 0.5746 0.2744
Cl 0.2991 0.1240 0.3681